# AcThAl2Hg5
Simulated XRD peak list, Cu Kα (λ = 1.5418 Å). Input: the PBE geometry in Alexandria.
Kinematic intensities with the Lorentz-polarization factor, no thermal factor.

Main lines, low angle first (15 to 90 degrees two-theta):
- hkl 1 1 2, 2θ = 32.01°, rel. 100
- hkl 2 0 0, 2θ = 34.13°, rel. 48
- hkl 0 0 4, 2θ = 42.57°, rel. 11
- hkl 2 2 0, 2θ = 49.04°, rel. 18
- hkl 2 0 4, 2θ = 55.66°, rel. 20
- hkl 3 1 2, 2θ = 59.78°, rel. 38
- hkl 2 2 4, 2θ = 66.93°, rel. 11
- hkl 1 1 6, 2θ = 71.29°, rel. 10
- hkl 3 3 2, 2θ = 80.87°, rel. 10
- hkl 4 2 0, 2θ = 82.03°, rel. 8

a = 5.254 Å, b = 5.254 Å, c = 8.494 Å
α = 90.00°, β = 90.00°, γ = 90.00°
Space group P4/mmm (No. 123)
Inequivalent atoms, fractional coordinates:
Ac 0.000 0.000 0.000 (multiplicity 1)
Th 0.000 0.000 0.500 (multiplicity 1)
Al 0.500 0.500 0.347 (multiplicity 2)
Hg 0.000 0.500 0.265 (multiplicity 4)
Hg 0.500 0.500 0.000 (multiplicity 1)


# AcAlZnHg2
Simulated XRD peak list, Cu Kα (λ = 1.5418 Å). Input: the PBE geometry in Alexandria.
Kinematic intensities with the Lorentz-polarization factor, no thermal factor.

Main lines, low angle first (15 to 90 degrees two-theta):
- hkl 1 1 0, 2θ = 27.44°, rel. 69
- hkl 1 0 3, 2θ = 30.34°, rel. 100
- hkl 1 1 2, 2θ = 31.61°, rel. 37
- hkl 2 0 0, 2θ = 39.20°, rel. 52
- hkl 1 0 5, 2θ = 43.98°, rel. 38
- hkl 2 1 3, 2θ = 50.36°, rel. 50
- hkl 2 2 0, 2θ = 56.64°, rel. 18
- hkl 2 1 5, 2θ = 60.36°, rel. 30
- hkl 2 0 8, 2θ = 78.40°, rel. 14
- hkl 3 2 3, 2θ = 79.17°, rel. 14

a = 4.596 Å, b = 4.596 Å, c = 11.514 Å
α = 90.00°, β = 90.00°, γ = 90.00°
Space group I-4m2 (No. 119)
Inequivalent atoms, fractional coordinates:
Ac 0.000 0.000 0.000 (multiplicity 2)
Al 0.000 0.500 0.250 (multiplicity 2)
Zn 0.000 0.500 0.750 (multiplicity 2)
Hg 0.000 0.000 0.375 (multiplicity 4)


# AcNdHoAl
Simulated XRD peak list, Cu Kα (λ = 1.5418 Å). Input: the PBE geometry in Alexandria.
Kinematic intensities with the Lorentz-polarization factor, no thermal factor.

Main lines, low angle first (15 to 90 degrees two-theta):
- hkl 1 1 1, 2θ = 19.54°, rel. 27
- hkl 2 2 0, 2θ = 32.18°, rel. 100
- hkl 3 1 1, 2θ = 37.93°, rel. 16
- hkl 4 0 0, 2θ = 46.15°, rel. 19
- hkl 3 3 1, 2θ = 50.57°, rel. 7
- hkl 4 2 2, 2θ = 57.38°, rel. 39
- hkl 5 1 1, 2θ = 61.22°, rel. 5
- hkl 4 4 0, 2θ = 67.33°, rel. 12
- hkl 5 3 1, 2θ = 70.86°, rel. 5
- hkl 6 2 0, 2θ = 76.59°, rel. 17

a = 7.867 Å, b = 7.867 Å, c = 7.867 Å
α = 90.00°, β = 90.00°, γ = 90.00°
Space group F-43m (No. 216)
Inequivalent atoms, fractional coordinates:
Ac 0.000 0.000 0.000 (multiplicity 4)
Nd 0.250 0.250 0.750 (multiplicity 4)
Ho 0.250 0.250 0.250 (multiplicity 4)
Al 0.000 0.000 0.500 (multiplicity 4)


# Ac12AlIn6
Simulated XRD peak list, Cu Kα (λ = 1.5418 Å). Input: the PBE geometry in Alexandria.
Kinematic intensities with the Lorentz-polarization factor, no thermal factor.

Main lines, low angle first (15 to 90 degrees two-theta):
- hkl 3 0 0, 2θ = 19.54°, rel. 22
- hkl 1 2 2, 2θ = 24.04°, rel. 20
- hkl 0 0 3, 2θ = 25.10°, rel. 16
- hkl 1 1 3, 2θ = 27.57°, rel. 32
- hkl 4 -1 2, 2θ = 28.97°, rel. 19
- hkl 4 1 0, 2θ = 30.04°, rel. 100
- hkl 0 3 3, 2θ = 32.00°, rel. 39
- hkl 2 2 3, 2θ = 34.02°, rel. 30
- hkl 4 1 3, 2θ = 39.53°, rel. 26
- hkl 7 -2 3, 2θ = 48.98°, rel. 26

a = 15.7405 Å, b = 15.7405 Å, c = 10.6454 Å
α = 90.00°, β = 90.00°, γ = 120.00°
Space group R-3 (No. 148, hexagonal axes)
Inequivalent atoms, fractional coordinates:
Ac 0.0472 0.8472 0.2999 (multiplicity 18)
Ac 0.0526 0.8156 0.9263 (multiplicity 18)
Al 0.0000 0.0000 0.0000 (multiplicity 3)
In 0.0563 0.8026 0.6059 (multiplicity 18)


# LiAcAlIn
Simulated XRD peak list, Cu Kα (λ = 1.5418 Å). Input: the PBE geometry in Alexandria.
Kinematic intensities with the Lorentz-polarization factor, no thermal factor.

Main lines, low angle first (15 to 90 degrees two-theta):
- hkl 1 1 1, 2θ = 20.92°, rel. 18
- hkl 2 0 0, 2θ = 24.20°, rel. 83
- hkl 2 2 0, 2θ = 34.49°, rel. 100
- hkl 2 2 2, 2θ = 42.59°, rel. 26
- hkl 4 0 0, 2θ = 49.58°, rel. 18
- hkl 4 2 0, 2θ = 55.91°, rel. 35
- hkl 4 2 2, 2θ = 61.80°, rel. 37
- hkl 4 4 0, 2θ = 72.74°, rel. 12
- hkl 6 0 0, 2θ = 77.95°, rel. 17
- hkl 6 2 0, 2θ = 83.06°, rel. 16

a = 7.354 Å, b = 7.354 Å, c = 7.354 Å
α = 90.00°, β = 90.00°, γ = 90.00°
Space group F-43m (No. 216)
Inequivalent atoms, fractional coordinates:
Li 0.000 0.000 0.000 (multiplicity 4)
Ac 0.250 0.250 0.750 (multiplicity 4)
Al 0.000 0.000 0.500 (multiplicity 4)
In 0.250 0.250 0.250 (multiplicity 4)


# Ac2AlInO6
Simulated XRD peak list, Cu Kα (λ = 1.5418 Å). Input: the PBE geometry in Alexandria.
Kinematic intensities with the Lorentz-polarization factor, no thermal factor.

Main lines, low angle first (15 to 90 degrees two-theta):
- hkl 0 0 2, 2θ = 21.90°, rel. 53
- hkl 1 1 1, 2θ = 31.08°, rel. 100
- hkl 1 1 -3, 2θ = 31.25°, rel. 99
- hkl 2 0 -4, 2θ = 38.49°, rel. 26
- hkl 0 0 4, 2θ = 44.66°, rel. 52
- hkl 2 0 2, 2θ = 55.19°, rel. 22
- hkl 3 1 -5, 2θ = 55.51°, rel. 41
- hkl 2 0 -6, 2θ = 55.62°, rel. 20
- hkl 4 0 -4, 2θ = 64.80°, rel. 16
- hkl 2 2 -6, 2θ = 65.20°, rel. 15

a = 5.760 Å, b = 5.727 Å, c = 9.909 Å
α = 90.00°, β = 125.11°, γ = 90.00°
Space group P2_1/c (No. 14)
Inequivalent atoms, fractional coordinates:
Ac 0.243 0.020 0.249 (multiplicity 4)
Al 0.000 0.000 0.500 (multiplicity 2)
In 0.500 0.000 0.000 (multiplicity 2)
O 0.173 0.240 0.961 (multiplicity 4)
O 0.219 0.714 0.963 (multiplicity 4)
O 0.305 0.012 0.735 (multiplicity 4)


# AcAlZnIn2
Simulated XRD peak list, Cu Kα (λ = 1.5418 Å). Input: the PBE geometry in Alexandria.
Kinematic intensities with the Lorentz-polarization factor, no thermal factor.

Main lines, low angle first (15 to 90 degrees two-theta):
- hkl 1 1 0, 2θ = 26.66°, rel. 58
- hkl 1 0 3, 2θ = 30.30°, rel. 100
- hkl 1 1 2, 2θ = 31.06°, rel. 64
- hkl 2 0 0, 2θ = 38.06°, rel. 55
- hkl 1 0 5, 2θ = 44.36°, rel. 36
- hkl 2 1 3, 2θ = 49.40°, rel. 52
- hkl 2 2 0, 2θ = 54.91°, rel. 19
- hkl 2 1 5, 2θ = 59.84°, rel. 29
- hkl 3 1 2, 2θ = 64.44°, rel. 16
- hkl 3 2 3, 2θ = 76.96°, rel. 14

a = 4.729 Å, b = 4.729 Å, c = 11.322 Å
α = 90.00°, β = 90.00°, γ = 90.00°
Space group I-4m2 (No. 119)
Inequivalent atoms, fractional coordinates:
Ac 0.000 0.000 0.000 (multiplicity 2)
Al 0.000 0.500 0.250 (multiplicity 2)
Zn 0.000 0.500 0.750 (multiplicity 2)
In 0.000 0.000 0.375 (multiplicity 4)


# AcAl6Ir
Simulated XRD peak list, Cu Kα (λ = 1.5418 Å). Input: the PBE geometry in Alexandria.
Kinematic intensities with the Lorentz-polarization factor, no thermal factor.

Main lines, low angle first (15 to 90 degrees two-theta):
- hkl 1 0 0, 2θ = 20.47°, rel. 81
- hkl 0 0 2, 2θ = 20.75°, rel. 37
- hkl 1 1 0, 2θ = 29.11°, rel. 35
- hkl 1 0 2, 2θ = 29.32°, rel. 100
- hkl 1 1 2, 2θ = 36.02°, rel. 62
- hkl 2 0 0, 2θ = 41.64°, rel. 35
- hkl 1 0 4, 2θ = 47.37°, rel. 31
- hkl 2 1 2, 2θ = 51.74°, rel. 42
- hkl 1 1 4, 2θ = 52.11°, rel. 21
- hkl 2 1 4, 2θ = 64.88°, rel. 24

a = 4.338 Å, b = 4.338 Å, c = 8.560 Å
α = 90.00°, β = 90.00°, γ = 90.00°
Space group P4/mmm (No. 123)
Inequivalent atoms, fractional coordinates:
Ac 0.000 0.000 0.000 (multiplicity 1)
Al 0.000 0.500 0.339 (multiplicity 4)
Al 0.500 0.500 0.150 (multiplicity 2)
Ir 0.000 0.000 0.500 (multiplicity 1)


> Which formula does entry 2 have?

AcAlZnHg2